Simulated powder X-ray diffraction pattern
Compound: GdHoNb2Si2
Radiation: Cu Kα X-rays
Structure: a crystal structure in OQMD, relaxed with PBE
Intensities are scaled so that the largest is 100.

Crystal structure
a b c (Å): 4.010 4.010 7.806
angles (deg): 90.00 90.00 90.00
Sites, in units of the cell vectors:
1 Gd 0.000 0.000 0.000
2 Ho 0.500 0.500 0.293
3 Nb 0.000 0.500 0.646
4 Nb 0.500 0.000 0.646
5 Si 0.000 0.000 0.407
6 Si 0.500 0.500 0.886

Largest 10 diffraction maxima, low angle first, 10 to 90 degrees two-theta:
2θ/deg	intensity
24.96	55
32.00	78
33.63	100
34.47	37
39.27	50
45.23	48
56.47	31
57.31	25
58.08	32
76.04	18



Simulated powder X-ray diffraction pattern
Compound: La3Mg3Tl2Pt
Radiation: Cu Kα X-rays
Structure: a crystal structure in OQMD, relaxed with PBE
Intensities are scaled so that the largest is 100.

Crystal structure
a b c (Å): 7.671 7.671 4.749
angles (deg): 90.00 90.00 120.00
Sites, in units of the cell vectors:
1 La 0.000 0.394 0.000
2 La 0.394 0.000 0.000
3 La 0.606 0.606 0.000
4 Mg 0.000 0.774 0.500
5 Mg 0.226 0.226 0.500
6 Mg 0.774 0.000 0.500
7 Tl 0.333 0.667 0.500
8 Tl 0.667 0.333 0.500
9 Pt 0.000 0.000 0.000

Largest 10 diffraction maxima, low angle first, 10 to 90 degrees two-theta:
2θ/deg	intensity
23.02	49
23.19	69
29.95	87
32.91	100
37.89	35
40.64	53
40.75	52
44.90	25
56.85	40
64.20	43



Simulated powder X-ray diffraction pattern
Compound: U2C3
Radiation: Cu Kα X-rays
Structure: a crystal structure in OQMD, relaxed with PBE
Intensities are scaled so that the largest is 100.

Crystal structure
a b c (Å): 6.965 6.965 6.965
angles (deg): 109.47 109.47 109.47
Sites, in units of the cell vectors:
1 U 0.000 0.402 0.500
2 U 0.000 0.902 0.500
3 U 0.098 0.098 0.098
4 U 0.402 0.500 0.000
5 U 0.500 0.000 0.402
6 U 0.500 0.000 0.902
7 U 0.598 0.598 0.598
8 U 0.902 0.500 0.000
9 C 0.036 0.750 0.786
10 C 0.214 0.750 0.964
11 C 0.250 0.536 0.286
12 C 0.250 0.714 0.464
13 C 0.286 0.250 0.536
14 C 0.464 0.250 0.714
15 C 0.536 0.286 0.250
16 C 0.714 0.464 0.250
17 C 0.750 0.786 0.036
18 C 0.750 0.964 0.214
19 C 0.786 0.036 0.750
20 C 0.964 0.214 0.750

Largest 10 diffraction maxima, low angle first, 10 to 90 degrees two-theta:
2θ/deg	intensity
27.16	47
31.46	100
35.29	85
42.04	43
53.44	27
56.02	14
58.52	60
63.34	29
76.82	19
89.57	22



Simulated powder X-ray diffraction pattern
Compound: MgCdCu
Radiation: Cu Kα X-rays
Structure: a crystal structure in OQMD, relaxed with PBE
Intensities are scaled so that the largest is 100.

Crystal structure
a b c (Å): 10.135 9.471 5.201
angles (deg): 81.81 67.66 30.53
Sites, in units of the cell vectors:
1 Mg 0.042 0.708 0.042
2 Mg 0.292 0.958 0.292
3 Mg 0.708 0.042 0.708
4 Mg 0.958 0.292 0.958
5 Cd 0.294 0.294 0.456
6 Cd 0.456 0.456 0.294
7 Cd 0.544 0.544 0.706
8 Cd 0.706 0.706 0.544
9 Cu 0.002 0.002 0.748
10 Cu 0.252 0.252 0.998
11 Cu 0.748 0.748 0.002
12 Cu 0.998 0.998 0.252

Largest 10 diffraction maxima, low angle first, 10 to 90 degrees two-theta:
2θ/deg	intensity
19.53	93
22.14	32
35.29	34
35.78	68
39.53	100
39.94	96
40.30	47
44.46	86
45.16	41
49.60	30



Simulated powder X-ray diffraction pattern
Compound: TbErSnC
Radiation: Cu Kα X-rays
Structure: a crystal structure in OQMD, relaxed with PBE
Intensities are scaled so that the largest is 100.

Crystal structure
a b c (Å): 3.611 3.611 15.853
angles (deg): 90.00 90.00 120.00
Sites, in units of the cell vectors:
1 Tb 0.000 0.000 0.167
2 Tb 0.000 0.000 0.833
3 Er 0.333 0.667 0.336
4 Er 0.333 0.667 0.664
5 Sn 0.000 0.000 0.500
6 Sn 0.333 0.667 0.000
7 C 0.667 0.333 0.253
8 C 0.667 0.333 0.747

Largest 10 diffraction maxima, low angle first, 10 to 90 degrees two-theta:
2θ/deg	intensity
28.54	22
33.29	100
33.93	20
44.91	16
50.55	22
60.30	18
61.88	17
62.28	22
82.48	8
83.87	15



Simulated powder X-ray diffraction pattern
Compound: NbSe2
Radiation: Cu Kα X-rays
Structure: a crystal structure in OQMD, relaxed with PBE
Intensities are scaled so that the largest is 100.

Crystal structure
a b c (Å): 3.472 23.083 6.013
angles (deg): 90.00 90.00 90.00
Sites, in units of the cell vectors:
1 Nb 0.000 0.000 0.000
2 Nb 0.000 0.500 0.500
3 Nb 0.500 0.000 0.500
4 Nb 0.500 0.500 0.000
5 Se 0.000 0.073 0.333
6 Se 0.000 0.427 0.833
7 Se 0.000 0.573 0.833
8 Se 0.000 0.927 0.333
9 Se 0.500 0.073 0.833
10 Se 0.500 0.427 0.333
11 Se 0.500 0.573 0.333
12 Se 0.500 0.927 0.833

Largest 10 diffraction maxima, low angle first, 10 to 90 degrees two-theta:
2θ/deg	intensity
29.97	74
31.96	28
33.61	25
35.64	88
37.98	55
40.61	100
43.47	34
46.54	35
52.89	52
66.81	30



Simulated powder X-ray diffraction pattern
Compound: BW12N20
Radiation: Cu Kα X-rays
Structure: a crystal structure in OQMD, relaxed with PBE
Intensities are scaled so that the largest is 100.

Crystal structure
a b c (Å): 7.400 7.400 7.400
angles (deg): 109.47 109.47 109.47
Sites, in units of the cell vectors:
1 B 0.000 0.000 0.000
2 W 0.161 0.332 0.835
3 W 0.165 0.497 0.326
4 W 0.172 0.839 0.674
5 W 0.326 0.165 0.497
6 W 0.332 0.835 0.161
7 W 0.497 0.326 0.165
8 W 0.503 0.668 0.828
9 W 0.668 0.828 0.503
10 W 0.674 0.172 0.839
11 W 0.828 0.503 0.668
12 W 0.835 0.161 0.332
13 W 0.839 0.674 0.172
14 N 0.000 0.000 0.393
15 N 0.000 0.000 0.786
16 N 0.000 0.393 0.000
17 N 0.000 0.786 0.000
18 N 0.177 0.808 0.365
19 N 0.188 0.631 0.823
20 N 0.192 0.369 0.557
21 N 0.214 0.214 0.214
22 N 0.365 0.177 0.808
23 N 0.369 0.557 0.192
24 N 0.393 0.000 0.000
25 N 0.443 0.812 0.635
26 N 0.557 0.192 0.369
27 N 0.607 0.607 0.607
28 N 0.631 0.823 0.188
29 N 0.635 0.443 0.812
30 N 0.786 0.000 0.000
31 N 0.808 0.365 0.177
32 N 0.812 0.635 0.443
33 N 0.823 0.188 0.631

Largest 10 diffraction maxima, low angle first, 10 to 90 degrees two-theta:
2θ/deg	intensity
29.57	20
33.15	100
39.46	53
45.01	12
50.07	18
54.78	17
63.48	30
65.55	20
67.58	13
75.46	21



Simulated powder X-ray diffraction pattern
Compound: TePd12
Radiation: Cu Kα X-rays
Structure: a crystal structure in OQMD, relaxed with PBE
Intensities are scaled so that the largest is 100.

Crystal structure
a b c (Å): 4.762 7.279 12.636
angles (deg): 96.17 95.48 90.42
Sites, in units of the cell vectors:
1 Te 0.217 0.143 0.424
2 Te 0.783 0.857 0.576
3 Pd 0.023 0.421 0.806
4 Pd 0.057 0.485 0.401
5 Pd 0.093 0.326 0.015
6 Pd 0.133 0.169 0.625
7 Pd 0.155 0.229 0.221
8 Pd 0.204 0.075 0.841
9 Pd 0.266 0.974 0.052
10 Pd 0.312 0.816 0.664
11 Pd 0.333 0.876 0.267
12 Pd 0.377 0.723 0.880
13 Pd 0.441 0.626 0.090
14 Pd 0.481 0.469 0.698
15 Pd 0.519 0.531 0.302
16 Pd 0.559 0.374 0.910
17 Pd 0.623 0.277 0.120
18 Pd 0.667 0.124 0.733
19 Pd 0.688 0.184 0.336
20 Pd 0.734 0.026 0.948
21 Pd 0.796 0.925 0.159
22 Pd 0.845 0.771 0.779
23 Pd 0.867 0.831 0.375
24 Pd 0.907 0.674 0.985
25 Pd 0.943 0.515 0.599
26 Pd 0.977 0.579 0.194

Largest 10 diffraction maxima, low angle first, 10 to 90 degrees two-theta:
2θ/deg	intensity
37.27	56
38.78	74
39.06	100
40.26	87
41.57	24
41.89	47
45.63	64
45.82	28
47.46	33
48.14	46



Simulated powder X-ray diffraction pattern
Compound: Li8Zn4O11
Radiation: Cu Kα X-rays
Structure: a crystal structure in OQMD, relaxed with PBE
Intensities are scaled so that the largest is 100.

Crystal structure
a b c (Å): 5.011 5.023 8.755
angles (deg): 90.09 105.95 100.09
Sites, in units of the cell vectors:
1 Li 0.000 0.000 0.000
2 Li 0.000 0.468 0.180
3 Li 0.003 0.024 0.369
4 Li 0.014 0.508 0.850
5 Li 0.019 0.512 0.522
6 Li 0.026 0.009 0.691
7 Li 0.514 0.257 0.605
8 Li 0.545 0.743 0.094
9 Zn 0.514 0.752 0.769
10 Zn 0.520 0.254 0.938
11 Zn 0.529 0.275 0.272
12 Zn 0.531 0.757 0.447
13 O 0.267 0.877 0.548
14 O 0.270 0.405 0.379
15 O 0.273 0.393 0.737
16 O 0.276 0.345 0.072
17 O 0.285 0.881 0.895
18 O 0.734 0.135 0.466
19 O 0.745 0.118 0.151
20 O 0.751 0.116 0.812
21 O 0.760 0.658 0.314
22 O 0.766 0.643 0.653
23 O 0.785 0.611 0.984

Largest 10 diffraction maxima, low angle first, 10 to 90 degrees two-theta:
2θ/deg	intensity
18.73	100
20.37	30
21.14	18
21.34	19
24.02	19
36.01	18
43.58	35
44.26	33
44.36	33
64.13	18



Simulated powder X-ray diffraction pattern
Compound: Ba5Dy8Zn4O21
Radiation: Cu Kα X-rays
Structure: a crystal structure in OQMD, relaxed with PBE
Intensities are scaled so that the largest is 100.

Crystal structure
a b c (Å): 10.142 10.142 10.142
angles (deg): 94.54 94.54 147.31
Sites, in units of the cell vectors:
1 Ba 0.000 0.000 0.000
2 Ba 0.139 0.536 0.675
3 Ba 0.464 0.139 0.602
4 Ba 0.536 0.861 0.398
5 Ba 0.861 0.464 0.325
6 Dy 0.168 0.247 0.415
7 Dy 0.247 0.832 0.079
8 Dy 0.357 0.412 0.769
9 Dy 0.412 0.643 0.056
10 Dy 0.588 0.357 0.944
11 Dy 0.643 0.588 0.231
12 Dy 0.753 0.168 0.921
13 Dy 0.832 0.753 0.585
14 Zn 0.040 0.749 0.789
15 Zn 0.251 0.040 0.291
16 Zn 0.749 0.960 0.709
17 Zn 0.960 0.251 0.211
18 O 0.012 0.901 0.407
19 O 0.038 0.373 0.410
20 O 0.072 0.298 0.871
21 O 0.099 0.506 0.111
22 O 0.201 0.072 0.774
23 O 0.298 0.427 0.226
24 O 0.373 0.962 0.335
25 O 0.395 0.988 0.889
26 O 0.427 0.201 0.129
27 O 0.494 0.605 0.593
28 O 0.500 0.500 0.000
29 O 0.506 0.395 0.407
30 O 0.573 0.799 0.871
31 O 0.605 0.012 0.111
32 O 0.627 0.038 0.665
33 O 0.702 0.573 0.774
34 O 0.799 0.928 0.226
35 O 0.901 0.494 0.889
36 O 0.928 0.702 0.129
37 O 0.962 0.627 0.590
38 O 0.988 0.099 0.593

Largest 10 diffraction maxima, low angle first, 10 to 90 degrees two-theta:
2θ/deg	intensity
28.12	48
29.01	16
31.04	100
31.34	42
36.23	33
38.13	14
43.23	19
46.29	19
50.15	11
55.59	19



Simulated powder X-ray diffraction pattern
Compound: DyHoCl2O2
Radiation: Cu Kα X-rays
Structure: a crystal structure in OQMD, relaxed with PBE
Intensities are scaled so that the largest is 100.

Crystal structure
a b c (Å): 3.783 3.783 7.626
angles (deg): 90.00 90.00 90.00
Sites, in units of the cell vectors:
1 Dy 0.000 0.000 0.000
2 Ho 0.500 0.500 0.303
3 Cl 0.000 0.000 0.493
4 Cl 0.500 0.500 0.811
5 O 0.000 0.500 0.153
6 O 0.500 0.000 0.153

Largest 10 diffraction maxima, low angle first, 10 to 90 degrees two-theta:
2θ/deg	intensity
11.60	73
26.30	53
33.37	100
33.50	47
48.11	23
49.47	18
55.66	15
59.55	14
59.81	36
80.22	16



Simulated powder X-ray diffraction pattern
Compound: BaSmAuO3
Radiation: Cu Kα X-rays
Structure: a crystal structure in OQMD, relaxed with PBE
Intensities are scaled so that the largest is 100.

Crystal structure
a b c (Å): 7.085 7.085 8.789
angles (deg): 90.00 90.00 148.84
Sites, in units of the cell vectors:
1 Ba 0.187 0.813 0.750
2 Ba 0.813 0.187 0.250
3 Sm 0.500 0.500 0.000
4 Sm 0.500 0.500 0.500
5 Au 0.113 0.887 0.250
6 Au 0.887 0.113 0.750
7 O 0.110 0.890 0.020
8 O 0.110 0.890 0.480
9 O 0.437 0.563 0.250
10 O 0.563 0.437 0.750
11 O 0.890 0.110 0.520
12 O 0.890 0.110 0.980

Largest 10 diffraction maxima, low angle first, 10 to 90 degrees two-theta:
2θ/deg	intensity
12.97	25
24.09	45
30.63	92
31.79	100
32.32	56
33.24	48
41.04	56
52.10	40
53.85	25
64.79	29